No. 1
Pm4TePI2: simulated powder X-ray diffraction pattern (Cu Kα (λ = 1.5418 Å)), based on a cell relaxed with GGA-PBE.
Peak positions follow from Bragg's law for the DFT cell and can differ from measured ones.

Top 10 peaks for 5° ≤ 2θ ≤ 70°, sorted by position:
d = 3.165 Å, intensity 46.6; d = 3.132 Å, intensity 100.0; d = 2.871 Å, intensity 15.2; d = 2.839 Å, intensity 9.3; d = 2.514 Å, intensity 10.5; d = 2.302 Å, intensity 14.4; d = 2.247 Å, intensity 27.2; d = 2.206 Å, intensity 33.2; d = 2.136 Å, intensity 19.4; d = 1.771 Å, intensity 17.2

Atomic structure:
```
Pm4TePI2
1.0
7.7295 0.0000 0.0000
0.0000 4.2728 0.0000
-2.4440 0.0000 7.5435
Pm Te P I
4 1 1 2
direct
0.2029 0.0000 0.1941
0.2266 0.5000 0.7962
0.7734 0.5000 0.2038
0.7971 0.0000 0.8059
0.5000 0.0000 0.0000
0.0000 0.5000 0.0000
0.0000 0.0000 0.5000
0.5000 0.5000 0.5000
```

***

No. 2
Ac2Al2Hg5: simulated powder X-ray diffraction pattern (Cu Kα (λ = 1.5418 Å)), based on a cell relaxed with GGA-PBE.
Peak positions follow from Bragg's law for the DFT cell and can differ from measured ones.

Top 10 peaks for 5° ≤ 2θ ≤ 70°, sorted by position:
d = 10.523 Å, intensity 9.3; d = 3.541 Å, intensity 4.8; d = 2.847 Å, intensity 100.0; d = 2.631 Å, intensity 18.3; d = 2.394 Å, intensity 33.8; d = 1.770 Å, intensity 23.1; d = 1.693 Å, intensity 11.9; d = 1.557 Å, intensity 15.8; d = 1.455 Å, intensity 27.1; d = 1.423 Å, intensity 11.4

Atomic structure:
```
Ac2Al2Hg5
1.0
4.7871 0.0000 0.0000
0.0000 4.7871 0.0000
0.0000 0.0000 10.5226
Ac Al Hg
2 2 5
direct
0.0000 0.0000 0.0000
0.0000 0.0000 0.5000
0.5000 0.5000 0.1216
0.5000 0.5000 0.8784
0.0000 0.5000 0.2591
0.0000 0.5000 0.7409
0.5000 0.0000 0.2591
0.5000 0.0000 0.7409
0.5000 0.5000 0.5000
```

***

No. 3
BPbBrF4: simulated powder X-ray diffraction pattern (Cu Kα (λ = 1.5418 Å)), based on a cell relaxed with GGA-PBE.
Peak positions follow from Bragg's law for the DFT cell and can differ from measured ones.

Top 10 peaks for 5° ≤ 2θ ≤ 70°, sorted by position:
d = 6.926 Å, intensity 58.1; d = 6.026 Å, intensity 54.7; d = 5.019 Å, intensity 84.4; d = 3.705 Å, intensity 100.0; d = 3.639 Å, intensity 31.1; d = 3.463 Å, intensity 31.1; d = 3.212 Å, intensity 79.1; d = 2.792 Å, intensity 57.3; d = 2.532 Å, intensity 28.8; d = 1.910 Å, intensity 29.5

Atomic structure:
```
BPbBrF4
1.0
5.4482 -3.7048 0.0000
5.4482 3.7048 0.0000
-2.2699 0.0000 6.9262
B Pb Br F
2 2 2 8
direct
0.1340 0.1340 0.2543
0.8660 0.8660 0.7457
0.2977 0.2977 0.8419
0.7023 0.7023 0.1581
0.4664 0.4664 0.2393
0.5336 0.5336 0.7607
0.0033 0.0033 0.2326
0.0134 0.3241 0.1609
0.2093 0.2093 0.4509
0.3241 0.0134 0.1609
0.6759 0.9866 0.8391
0.7907 0.7907 0.5491
0.9866 0.6759 0.8391
0.9967 0.9967 0.7674
```

***

No. 4
Ca2AlAg3: simulated powder X-ray diffraction pattern (Cu Kα (λ = 1.5418 Å)), based on a cell relaxed with GGA-PBE.
Peak positions follow from Bragg's law for the DFT cell and can differ from measured ones.

Top 10 peaks for 5° ≤ 2θ ≤ 70°, sorted by position:
d = 4.082 Å, intensity 17.8; d = 3.971 Å, intensity 16.6; d = 3.683 Å, intensity 40.1; d = 2.734 Å, intensity 100.0; d = 2.357 Å, intensity 90.1; d = 1.985 Å, intensity 41.2; d = 1.841 Å, intensity 14.0; d = 1.785 Å, intensity 25.7; d = 1.451 Å, intensity 35.9; d = 1.423 Å, intensity 22.8

Atomic structure:
```
Ca2AlAg3
1.0
0.0000 4.7121 8.1673
3.6825 0.0000 8.1673
3.6825 4.7121 0.0000
Ca Al Ag
4 2 6
direct
0.2445 0.7555 0.7555
0.2500 0.2500 0.2500
0.7500 0.7500 0.7500
0.7555 0.2445 0.2445
0.3329 0.3329 0.6671
0.6671 0.6671 0.3329
0.1720 0.1720 0.8280
0.1737 0.6538 0.3462
0.3462 0.8263 0.1737
0.6538 0.1737 0.8263
0.8263 0.3462 0.6538
0.8280 0.8280 0.1720
```

***

No. 5
Ca2NpS4: simulated powder X-ray diffraction pattern (Cu Kα (λ = 1.5418 Å)), based on a cell relaxed with GGA-PBE.
Peak positions follow from Bragg's law for the DFT cell and can differ from measured ones.

Top 10 peaks for 5° ≤ 2θ ≤ 70°, sorted by position:
d = 6.055 Å, intensity 100.0; d = 5.940 Å, intensity 28.9; d = 3.451 Å, intensity 43.3; d = 3.383 Å, intensity 81.4; d = 3.363 Å, intensity 15.7; d = 2.970 Å, intensity 16.8; d = 2.664 Å, intensity 18.8; d = 2.431 Å, intensity 47.7; d = 1.982 Å, intensity 22.9; d = 1.971 Å, intensity 28.3

Atomic structure:
```
Ca2NpS4
1.0
7.0371 0.0000 0.0000
0.0000 11.8794 0.0000
0.0000 0.0000 4.0795
Ca Np S
4 2 8
direct
0.0859 0.1839 0.0000
0.4141 0.6839 0.0000
0.5859 0.3161 0.0000
0.9141 0.8161 0.0000
0.0000 0.5000 0.5000
0.5000 0.0000 0.5000
0.1338 0.7092 0.5000
0.2429 0.4562 0.0000
0.2571 0.9562 0.0000
0.3662 0.2092 0.5000
0.6338 0.7908 0.5000
0.7429 0.0438 0.0000
0.7571 0.5438 0.0000
0.8662 0.2908 0.5000
```

***

No. 6
Pm7Nd3: simulated powder X-ray diffraction pattern (Cu Kα (λ = 1.5418 Å)), based on a cell relaxed with GGA-PBE.
Peak positions follow from Bragg's law for the DFT cell and can differ from measured ones.

Top 8 peaks for 5° ≤ 2θ ≤ 70°, sorted by position:
d = 2.986 Å, intensity 100.0; d = 2.589 Å, intensity 33.9; d = 2.581 Å, intensity 16.8; d = 1.830 Å, intensity 12.1; d = 1.828 Å, intensity 24.2; d = 1.561 Å, intensity 28.9; d = 1.557 Å, intensity 14.4; d = 1.493 Å, intensity 12.5

Atomic structure:
```
Pm7Nd3
1.0
9.3408 -2.5812 0.0000
9.3408 2.5812 0.0000
-1.4350 0.0000 7.1742
Pm Nd
7 3
direct
0.0000 0.0000 0.0000
0.2000 0.2000 0.6000
0.4002 0.4002 0.1999
0.4000 0.4000 0.6996
0.6000 0.6000 0.3004
0.5998 0.5998 0.8001
0.8000 0.8000 0.4000
0.0000 0.0000 0.5000
0.1998 0.1998 0.1002
0.8002 0.8002 0.8998
```

***

No. 7
CaThF: simulated powder X-ray diffraction pattern (Cu Kα (λ = 1.5418 Å)), based on a cell relaxed with GGA-PBE.
Peak positions follow from Bragg's law for the DFT cell and can differ from measured ones.

Top 10 peaks for 5° ≤ 2θ ≤ 70°, sorted by position:
d = 12.607 Å, intensity 100.0; d = 3.383 Å, intensity 22.4; d = 3.152 Å, intensity 13.0; d = 3.130 Å, intensity 43.2; d = 2.901 Å, intensity 22.3; d = 2.781 Å, intensity 8.6; d = 2.544 Å, intensity 15.5; d = 1.985 Å, intensity 14.3; d = 1.868 Å, intensity 9.7; d = 1.677 Å, intensity 11.3

Atomic structure:
```
CaThF
1.0
3.4395 -1.9845 0.0000
3.4395 1.9845 0.0000
-2.3260 0.0000 12.6066
Ca Th F
2 2 2
direct
0.1250 0.1250 0.3756
0.8750 0.8750 0.6244
0.2966 0.2966 0.8910
0.7034 0.7034 0.1090
0.0646 0.0646 0.1925
0.9354 0.9354 0.8075
```

***

No. 8
K2YTc: simulated powder X-ray diffraction pattern (Cu Kα (λ = 1.5418 Å)), based on a cell relaxed with GGA-PBE.
Peak positions follow from Bragg's law for the DFT cell and can differ from measured ones.

Top 10 peaks for 5° ≤ 2θ ≤ 70°, sorted by position:
d = 10.494 Å, intensity 100.0; d = 5.247 Å, intensity 13.6; d = 3.498 Å, intensity 21.8; d = 2.628 Å, intensity 33.6; d = 2.412 Å, intensity 28.5; d = 2.228 Å, intensity 6.5; d = 2.180 Å, intensity 4.5; d = 1.884 Å, intensity 6.9; d = 1.663 Å, intensity 4.9; d = 1.659 Å, intensity 4.9

Atomic structure:
```
K2YTc
1.0
10.7199 -1.7122 0.0000
10.7199 1.7122 0.0000
-0.9095 0.0000 4.3630
K Y Tc
2 1 1
direct
0.1532 0.1532 0.1496
0.8468 0.8468 0.8504
0.0000 0.0000 0.5000
0.5000 0.5000 0.0000
```

***

No. 9
Ce2ZrTiN5: simulated powder X-ray diffraction pattern (Cu Kα (λ = 1.5418 Å)), based on a cell relaxed with GGA-PBE.
Peak positions follow from Bragg's law for the DFT cell and can differ from measured ones.

Top 10 peaks for 5° ≤ 2θ ≤ 70°, sorted by position:
d = 3.290 Å, intensity 36.6; d = 3.084 Å, intensity 79.8; d = 2.838 Å, intensity 99.1; d = 2.779 Å, intensity 70.5; d = 2.712 Å, intensity 75.6; d = 2.385 Å, intensity 100.0; d = 1.961 Å, intensity 35.1; d = 1.695 Å, intensity 34.1; d = 1.649 Å, intensity 30.2; d = 1.600 Å, intensity 32.6

Atomic structure:
```
Ce2ZrTiN5
1.0
1.6955 -6.7755 0.0000
1.6955 6.7755 0.0000
0.0000 0.0000 10.3902
Ce Zr Ti N
4 2 2 10
direct
0.1137 0.8863 0.5000
0.1390 0.8610 0.0917
0.8610 0.1390 0.5917
0.8863 0.1137 0.0000
0.2150 0.7850 0.8076
0.7850 0.2150 0.3076
0.4820 0.5180 0.2747
0.5180 0.4820 0.7747
0.0517 0.9483 0.8556
0.2814 0.7186 0.4598
0.3118 0.6882 0.1740
0.3743 0.6257 0.8124
0.4932 0.5068 0.5913
0.5068 0.4932 0.0913
0.6257 0.3743 0.3124
0.6882 0.3118 0.6740
0.7186 0.2814 0.9598
0.9483 0.0517 0.3556
```

***

No. 10
Pm3NdCu8: simulated powder X-ray diffraction pattern (Cu Kα (λ = 1.5418 Å)), based on a cell relaxed with GGA-PBE.
Peak positions follow from Bragg's law for the DFT cell and can differ from measured ones.

Top 10 peaks for 5° ≤ 2θ ≤ 70°, sorted by position:
d = 2.909 Å, intensity 13.7; d = 2.682 Å, intensity 40.1; d = 2.673 Å, intensity 30.1; d = 2.285 Å, intensity 100.0; d = 2.278 Å, intensity 26.7; d = 2.189 Å, intensity 19.1; d = 1.971 Å, intensity 10.3; d = 1.548 Å, intensity 19.0; d = 1.461 Å, intensity 12.2; d = 1.459 Å, intensity 27.6

Atomic structure:
```
Pm3NdCu8
1.0
2.6825 1.5487 8.7140
-2.6825 1.5487 8.7140
0.0000 -3.0974 8.7140
Pm Nd Cu
3 1 8
direct
0.0000 0.0000 0.0000
0.1261 0.1261 0.1261
0.5200 0.5200 0.5200
0.6460 0.6460 0.6460
0.0780 0.0780 0.5589
0.0780 0.5589 0.0780
0.0880 0.5676 0.5676
0.3230 0.3230 0.3230
0.5589 0.0780 0.0780
0.5676 0.0880 0.5676
0.5676 0.5676 0.0880
0.8230 0.8230 0.8230
```

***

No. 11
Cu2AgF5: simulated powder X-ray diffraction pattern (Cu Kα (λ = 1.5418 Å)), based on a cell relaxed with GGA-PBE.
Peak positions follow from Bragg's law for the DFT cell and can differ from measured ones.

Top 10 peaks for 5° ≤ 2θ ≤ 70°, sorted by position:
d = 5.979 Å, intensity 29.9; d = 4.008 Å, intensity 55.5; d = 3.587 Å, intensity 100.0; d = 3.405 Å, intensity 33.0; d = 3.085 Å, intensity 88.3; d = 2.735 Å, intensity 33.4; d = 2.652 Å, intensity 28.3; d = 2.542 Å, intensity 48.7; d = 1.890 Å, intensity 49.2; d = 1.880 Å, intensity 32.8

Atomic structure:
```
Cu2AgF5
1.0
1.8804 -5.9786 0.0000
1.8804 5.9786 0.0000
0.0000 0.0000 10.8044
Cu Ag F
4 2 10
direct
0.1139 0.8861 0.5750
0.1139 0.8861 0.9250
0.8861 0.1139 0.0750
0.8861 0.1139 0.4250
0.1982 0.8018 0.2500
0.8018 0.1982 0.7500
0.0692 0.9308 0.0955
0.0692 0.9308 0.4045
0.1619 0.8381 0.7500
0.3393 0.6607 0.0704
0.3393 0.6607 0.4296
0.6607 0.3393 0.5704
0.6607 0.3393 0.9296
0.8381 0.1619 0.2500
0.9308 0.0692 0.5955
0.9308 0.0692 0.9045
```

***

No. 12
La7PrTm4: simulated powder X-ray diffraction pattern (Cu Kα (λ = 1.5418 Å)), based on a cell relaxed with GGA-PBE.
Peak positions follow from Bragg's law for the DFT cell and can differ from measured ones.

Top 10 peaks for 5° ≤ 2θ ≤ 70°, sorted by position:
d = 3.168 Å, intensity 24.4; d = 3.100 Å, intensity 13.2; d = 2.938 Å, intensity 51.2; d = 2.877 Å, intensity 100.0; d = 2.746 Å, intensity 31.5; d = 2.730 Å, intensity 60.3; d = 1.848 Å, intensity 26.7; d = 1.716 Å, intensity 20.7; d = 1.566 Å, intensity 15.5; d = 1.559 Å, intensity 15.2

Atomic structure:
```
La7PrTm4
1.0
6.4131 0.0000 0.0000
0.0067 7.3543 0.0000
2.1084 0.0071 8.8150
La Pr Tm
7 1 4
direct
0.0000 0.0000 0.0000
0.2219 0.5002 0.3338
0.2833 0.2497 0.6620
0.4974 0.2423 0.0044
0.5026 0.7577 0.9956
0.7167 0.7503 0.3380
0.7781 0.4998 0.6662
0.0000 0.5000 0.0000
0.2168 0.0001 0.3375
0.2768 0.7576 0.6664
0.7232 0.2424 0.3336
0.7832 0.9999 0.6625
```

***

No. 13
Ce6Rh2C: simulated powder X-ray diffraction pattern (Cu Kα (λ = 1.5418 Å)), based on a cell relaxed with GGA-PBE.
Peak positions follow from Bragg's law for the DFT cell and can differ from measured ones.

Top 10 peaks for 5° ≤ 2θ ≤ 70°, sorted by position:
d = 2.952 Å, intensity 58.7; d = 2.873 Å, intensity 100.0; d = 2.858 Å, intensity 39.4; d = 2.768 Å, intensity 47.3; d = 2.724 Å, intensity 85.7; d = 2.663 Å, intensity 35.0; d = 2.629 Å, intensity 47.7; d = 2.591 Å, intensity 39.9; d = 2.408 Å, intensity 35.6; d = 2.202 Å, intensity 36.1

Atomic structure:
```
Ce6Rh2C
1.0
6.2559 0.0000 0.0000
0.0000 7.0582 0.0000
-5.9292 0.0000 9.8804
Ce Rh C
12 4 2
direct
0.1033 0.0385 0.2401
0.1033 0.4615 0.7401
0.2134 0.6835 0.0571
0.2134 0.8165 0.5571
0.3904 0.1682 0.0586
0.3904 0.3318 0.5586
0.6096 0.6682 0.4414
0.6096 0.8318 0.9414
0.7866 0.1835 0.4429
0.7866 0.3165 0.9429
0.8967 0.5385 0.2599
0.8967 0.9615 0.7599
0.3254 0.1188 0.7538
0.3254 0.3812 0.2538
0.6746 0.6188 0.7462
0.6746 0.8812 0.2462
0.0000 0.0000 0.0000
0.0000 0.5000 0.5000
```